Record 1
Starting from a DFT-relaxed cell (GGA-PBE, Alexandria), the PXRD pattern of TmCuRhAu was computed for Cu Kα, 1.54184 Å.

The 10 most intense peaks (10 to 80 degrees two-theta), in order of rising 2θ:
| two_theta | d_spacing | intensity |
| --- | --- | --- |
| 22.45 | 3.960 | 12 |
| 30.68 | 2.914 | 11 |
| 38.35 | 2.347 | 100 |
| 41.57 | 2.173 | 20 |
| 45.83 | 1.980 | 15 |
| 46.21 | 1.965 | 15 |
| 63.58 | 1.463 | 11 |
| 63.88 | 1.457 | 11 |
| 73.70 | 1.285 | 15 |
| 79.76 | 1.202 | 12 |

Structural model:
```
data_TmCuRhAu
_symmetry_space_group_name_H-M 'P 1'
_symmetry_Int_Tables_number 1
_symmetry_space_group_name_Hall 'P 1'
_cell_length_a 3.9292
_cell_length_b 3.9597
_cell_length_c 4.3454
_cell_angle_alpha 90.00
_cell_angle_beta 90.00
_cell_angle_gamma 90.00
loop_
_atom_site_label
_atom_site_type_symbol
_atom_site_fract_x
_atom_site_fract_y
_atom_site_fract_z
Tm1 Tm 0.0000 0.0000 0.0000
Cu1 Cu 0.0000 0.5000 0.5000
Rh1 Rh 0.5000 0.5000 0.0000
Au1 Au 0.5000 0.0000 0.5000
```

***

Record 2
Starting from a DFT-relaxed cell (GGA-PBE, Alexandria), the PXRD pattern of YCuRhAu was computed for Cu Kα, 1.54184 Å.

The 10 most intense peaks (10 to 80 degrees two-theta), in order of rising 2θ:
| two_theta | d_spacing | intensity |
| --- | --- | --- |
| 22.26 | 3.994 | 15 |
| 30.28 | 2.952 | 14 |
| 37.90 | 2.374 | 100 |
| 41.22 | 2.190 | 20 |
| 45.35 | 2.000 | 15 |
| 45.46 | 1.995 | 15 |
| 62.98 | 1.476 | 22 |
| 72.94 | 1.297 | 14 |
| 78.78 | 1.215 | 12 |
| 78.94 | 1.213 | 12 |

Structural model:
```
data_YCuRhAu
_symmetry_space_group_name_H-M 'P 1'
_symmetry_Int_Tables_number 1
_symmetry_space_group_name_Hall 'P 1'
_cell_length_a 3.9904
_cell_length_b 3.9992
_cell_length_c 4.3802
_cell_angle_alpha 90.00
_cell_angle_beta 90.00
_cell_angle_gamma 90.00
loop_
_atom_site_label
_atom_site_type_symbol
_atom_site_fract_x
_atom_site_fract_y
_atom_site_fract_z
Y1 Y 0.0000 0.0000 0.0000
Cu1 Cu 0.0000 0.5000 0.5000
Rh1 Rh 0.5000 0.5000 0.0000
Au1 Au 0.5000 0.0000 0.5000
```

***

Record 3
Starting from a DFT-relaxed cell (GGA-PBE, Alexandria), the PXRD pattern of CuRuAu2 was computed for Cu Kα, 1.54184 Å.

The 10 most intense peaks (10 to 80 degrees two-theta), in order of rising 2θ:
| two_theta | d_spacing | intensity |
| --- | --- | --- |
| 22.66 | 3.925 | 28 |
| 30.53 | 2.928 | 14 |
| 38.35 | 2.347 | 100 |
| 40.28 | 2.239 | 88 |
| 45.45 | 1.995 | 62 |
| 46.27 | 1.962 | 29 |
| 51.37 | 1.779 | 14 |
| 66.87 | 1.399 | 39 |
| 77.92 | 1.226 | 13 |
| 78.02 | 1.225 | 13 |

Structural model:
```
data_CuRuAu2
_symmetry_space_group_name_H-M 'P 1'
_symmetry_Int_Tables_number 1
_symmetry_space_group_name_Hall 'P 1'
_cell_length_a 2.7264
_cell_length_b 3.9247
_cell_length_c 5.8564
_cell_angle_alpha 90.00
_cell_angle_beta 90.09
_cell_angle_gamma 90.00
loop_
_atom_site_label
_atom_site_type_symbol
_atom_site_fract_x
_atom_site_fract_y
_atom_site_fract_z
Cu1 Cu 0.0000 0.0000 0.0000
Ru1 Ru 0.0000 0.0000 0.5000
Au1 Au 0.4992 0.5000 0.2451
Au2 Au 0.5008 0.5000 0.7549
```

***

Record 4
Starting from a DFT-relaxed cell (GGA-PBE, Alexandria), the PXRD pattern of CuRuAu2 was computed for Cu Kα, 1.54184 Å.

The 10 most intense peaks (10 to 80 degrees two-theta), in order of rising 2θ:
| two_theta | d_spacing | intensity |
| --- | --- | --- |
| 23.69 | 3.756 | 13 |
| 30.79 | 2.904 | 15 |
| 39.21 | 2.297 | 100 |
| 44.10 | 2.054 | 36 |
| 48.48 | 1.878 | 14 |
| 50.66 | 1.802 | 8 |
| 58.53 | 1.577 | 5 |
| 64.13 | 1.452 | 12 |
| 67.60 | 1.386 | 20 |
| 77.82 | 1.227 | 27 |

Structural model:
```
data_CuRuAu2
_symmetry_space_group_name_H-M 'P 1'
_symmetry_Int_Tables_number 1
_symmetry_space_group_name_Hall 'P 1'
_cell_length_a 4.7476
_cell_length_b 4.7476
_cell_length_c 4.7476
_cell_angle_alpha 128.74
_cell_angle_beta 128.74
_cell_angle_gamma 75.43
loop_
_atom_site_label
_atom_site_type_symbol
_atom_site_fract_x
_atom_site_fract_y
_atom_site_fract_z
Cu1 Cu 0.0000 0.0000 0.0000
Ru1 Ru 0.5000 0.5000 0.0000
Au1 Au 0.2500 0.7500 0.5000
Au2 Au 0.7500 0.2500 0.5000
```

***

Record 5
Starting from a DFT-relaxed cell (GGA-PBE, Alexandria), the PXRD pattern of Cu2RuAu was computed for Cu Kα, 1.54184 Å.

The 10 most intense peaks (10 to 80 degrees two-theta), in order of rising 2θ:
| two_theta | d_spacing | intensity |
| --- | --- | --- |
| 17.48 | 5.074 | 20 |
| 27.53 | 3.239 | 35 |
| 41.27 | 2.188 | 100 |
| 41.56 | 2.173 | 82 |
| 42.98 | 2.104 | 41 |
| 43.41 | 2.084 | 49 |
| 62.74 | 1.481 | 32 |
| 74.13 | 1.279 | 13 |
| 77.59 | 1.230 | 15 |
| 78.60 | 1.217 | 16 |

Structural model:
```
data_Cu2RuAu
_symmetry_space_group_name_H-M 'P 1'
_symmetry_Int_Tables_number 1
_symmetry_space_group_name_Hall 'P 1'
_cell_length_a 4.2088
_cell_length_b 5.2438
_cell_length_c 5.2438
_cell_angle_alpha 29.23
_cell_angle_beta 90.00
_cell_angle_gamma 90.00
loop_
_atom_site_label
_atom_site_type_symbol
_atom_site_fract_x
_atom_site_fract_y
_atom_site_fract_z
Cu1 Cu 0.0000 0.0000 0.0000
Cu2 Cu 0.5000 0.1304 0.1304
Ru1 Ru 0.0000 0.7312 0.7312
Au1 Au 0.5000 0.3859 0.3859
```

***

Record 6
Starting from a DFT-relaxed cell (GGA-PBE, Alexandria), the PXRD pattern of Cu2AuS2 was computed for Cu Kα, 1.54184 Å.

The 10 most intense peaks (10 to 80 degrees two-theta), in order of rising 2θ:
| two_theta | d_spacing | intensity |
| --- | --- | --- |
| 13.30 | 6.656 | 36 |
| 25.61 | 3.478 | 100 |
| 31.01 | 2.884 | 32 |
| 33.87 | 2.646 | 12 |
| 34.79 | 2.579 | 55 |
| 41.43 | 2.180 | 11 |
| 44.42 | 2.039 | 26 |
| 51.99 | 1.759 | 56 |
| 57.63 | 1.600 | 26 |
| 61.79 | 1.501 | 11 |

Structural model:
```
data_Cu2AuS2
_symmetry_space_group_name_H-M 'P 1'
_symmetry_Int_Tables_number 1
_symmetry_space_group_name_Hall 'P 1'
_cell_length_a 4.0786
_cell_length_b 4.0786
_cell_length_c 6.6564
_cell_angle_alpha 90.00
_cell_angle_beta 90.00
_cell_angle_gamma 90.00
loop_
_atom_site_label
_atom_site_type_symbol
_atom_site_fract_x
_atom_site_fract_y
_atom_site_fract_z
Cu1 Cu 0.0000 0.0000 0.1823
Cu2 Cu 0.0000 0.0000 0.8177
Au1 Au 0.5000 0.5000 0.5000
S1 S 0.0000 0.5000 0.7211
S2 S 0.5000 0.0000 0.2789
```

***

Record 7
Starting from a DFT-relaxed cell (GGA-PBE, Alexandria), the PXRD pattern of CuAu3S was computed for Cu Kα, 1.54184 Å.

The 10 most intense peaks (10 to 80 degrees two-theta), in order of rising 2θ:
| two_theta | d_spacing | intensity |
| --- | --- | --- |
| 18.55 | 4.783 | 19 |
| 26.35 | 3.382 | 5 |
| 32.42 | 2.761 | 100 |
| 37.61 | 2.391 | 62 |
| 42.25 | 2.139 | 10 |
| 46.51 | 1.953 | 3 |
| 54.24 | 1.691 | 43 |
| 57.83 | 1.594 | 5 |
| 64.63 | 1.442 | 42 |
| 67.88 | 1.381 | 15 |

Structural model:
```
data_CuAu3S
_symmetry_space_group_name_H-M 'P 1'
_symmetry_Int_Tables_number 1
_symmetry_space_group_name_Hall 'P 1'
_cell_length_a 4.7830
_cell_length_b 4.7830
_cell_length_c 4.7830
_cell_angle_alpha 90.00
_cell_angle_beta 90.00
_cell_angle_gamma 90.00
loop_
_atom_site_label
_atom_site_type_symbol
_atom_site_fract_x
_atom_site_fract_y
_atom_site_fract_z
Cu1 Cu 0.0000 0.0000 0.0000
Au1 Au 0.0000 0.5000 0.5000
Au2 Au 0.5000 0.0000 0.5000
Au3 Au 0.5000 0.5000 0.0000
S1 S 0.5000 0.5000 0.5000
```

***

Record 8
Starting from a DFT-relaxed cell (GGA-PBE, Alexandria), the PXRD pattern of CuSn2AuS4 was computed for Cu Kα, 1.54184 Å.

The 10 most intense peaks (10 to 80 degrees two-theta), in order of rising 2θ:
| two_theta | d_spacing | intensity |
| --- | --- | --- |
| 16.79 | 5.281 | 52 |
| 17.31 | 5.124 | 31 |
| 25.20 | 3.534 | 100 |
| 28.43 | 3.140 | 65 |
| 28.98 | 3.081 | 57 |
| 29.91 | 2.988 | 43 |
| 33.95 | 2.641 | 27 |
| 36.83 | 2.441 | 40 |
| 47.17 | 1.927 | 32 |
| 52.87 | 1.732 | 25 |

Structural model:
```
data_CuSn2AuS4
_symmetry_space_group_name_H-M 'P 1'
_symmetry_Int_Tables_number 1
_symmetry_space_group_name_Hall 'P 1'
_cell_length_a 7.0770
_cell_length_b 6.4839
_cell_length_c 6.2937
_cell_angle_alpha 67.25
_cell_angle_beta 57.66
_cell_angle_gamma 55.10
loop_
_atom_site_label
_atom_site_type_symbol
_atom_site_fract_x
_atom_site_fract_y
_atom_site_fract_z
Cu1 Cu 0.0000 0.0000 0.0000
Sn1 Sn 0.2334 0.2334 0.2666
Sn2 Sn 0.7334 0.7334 0.7666
Au1 Au 0.3751 0.3751 0.6249
S1 S 0.0463 0.6233 0.9537
S2 S 0.2939 0.8527 0.1473
S3 S 0.6233 0.0463 0.3767
S4 S 0.8527 0.2939 0.7061
```

***

Record 9
Starting from a DFT-relaxed cell (GGA-PBE, Alexandria), the PXRD pattern of CuTe2AuS4 was computed for Cu Kα, 1.54184 Å.

The 10 most intense peaks (10 to 80 degrees two-theta), in order of rising 2θ:
| two_theta | d_spacing | intensity |
| --- | --- | --- |
| 16.84 | 5.264 | 62 |
| 26.61 | 3.350 | 100 |
| 26.99 | 3.304 | 78 |
| 29.35 | 3.043 | 69 |
| 33.73 | 2.658 | 35 |
| 34.07 | 2.632 | 30 |
| 34.20 | 2.622 | 53 |
| 42.50 | 2.127 | 30 |
| 45.68 | 1.986 | 46 |
| 50.85 | 1.796 | 32 |

Structural model:
```
data_CuTe2AuS4
_symmetry_space_group_name_H-M 'P 1'
_symmetry_Int_Tables_number 1
_symmetry_space_group_name_Hall 'P 1'
_cell_length_a 6.8160
_cell_length_b 6.0874
_cell_length_c 6.7527
_cell_angle_alpha 63.88
_cell_angle_beta 53.31
_cell_angle_gamma 62.81
loop_
_atom_site_label
_atom_site_type_symbol
_atom_site_fract_x
_atom_site_fract_y
_atom_site_fract_z
Cu1 Cu 0.0000 0.0000 0.0000
Te1 Te 0.2559 0.2559 0.2441
Te2 Te 0.7559 0.7559 0.7441
Au1 Au 0.6167 0.6167 0.3833
S1 S 0.1202 0.6980 0.3020
S2 S 0.3886 0.9401 0.6114
S3 S 0.6980 0.1202 0.8798
S4 S 0.9401 0.3886 0.0599
```

***

Record 10
Starting from a DFT-relaxed cell (GGA-PBE, Alexandria), the PXRD pattern of CuSbTeAu was computed for Cu Kα, 1.54184 Å.

The 10 most intense peaks (10 to 80 degrees two-theta), in order of rising 2θ:
| two_theta | d_spacing | intensity |
| --- | --- | --- |
| 25.28 | 3.523 | 40 |
| 26.50 | 3.363 | 83 |
| 27.37 | 3.258 | 28 |
| 33.93 | 2.642 | 83 |
| 35.57 | 2.524 | 23 |
| 40.96 | 2.203 | 63 |
| 43.78 | 2.068 | 100 |
| 44.88 | 2.020 | 52 |
| 56.50 | 1.629 | 23 |
| 74.09 | 1.280 | 27 |

Structural model:
```
data_CuSbTeAu
_symmetry_space_group_name_H-M 'P 1'
_symmetry_Int_Tables_number 1
_symmetry_space_group_name_Hall 'P 1'
_cell_length_a 13.2583
_cell_length_b 13.2583
_cell_length_c 13.2583
_cell_angle_alpha 17.95
_cell_angle_beta 17.95
_cell_angle_gamma 17.95
loop_
_atom_site_label
_atom_site_type_symbol
_atom_site_fract_x
_atom_site_fract_y
_atom_site_fract_z
Cu1 Cu 0.1851 0.1851 0.1851
Cu2 Cu 0.8149 0.8149 0.8149
Sb1 Sb 0.3893 0.3893 0.3893
Sb2 Sb 0.6107 0.6107 0.6107
Te1 Te 0.1190 0.1190 0.1190
Te2 Te 0.8810 0.8810 0.8810
Au1 Au 0.3120 0.3120 0.3120
Au2 Au 0.6880 0.6880 0.6880
```

***

Record 11
Starting from a DFT-relaxed cell (GGA-PBE, Alexandria), the PXRD pattern of Tl2CuSb2Au was computed for Cu Kα, 1.54184 Å.

The 10 most intense peaks (10 to 80 degrees two-theta), in order of rising 2θ:
| two_theta | d_spacing | intensity |
| --- | --- | --- |
| 28.23 | 3.161 | 15 |
| 28.99 | 3.080 | 46 |
| 30.32 | 2.947 | 100 |
| 30.50 | 2.931 | 34 |
| 32.53 | 2.753 | 18 |
| 35.38 | 2.537 | 22 |
| 35.78 | 2.510 | 36 |
| 37.64 | 2.390 | 17 |
| 41.03 | 2.200 | 62 |
| 50.45 | 1.809 | 17 |

Structural model:
```
data_Tl2CuSb2Au
_symmetry_space_group_name_H-M 'P 1'
_symmetry_Int_Tables_number 1
_symmetry_space_group_name_Hall 'P 1'
_cell_length_a 9.2019
_cell_length_b 9.2019
_cell_length_c 6.1397
_cell_angle_alpha 106.10
_cell_angle_beta 106.10
_cell_angle_gamma 40.18
loop_
_atom_site_label
_atom_site_type_symbol
_atom_site_fract_x
_atom_site_fract_y
_atom_site_fract_z
Tl1 Tl 0.0475 0.5990 0.8179
Tl2 Tl 0.4010 0.9525 0.6821
Tl3 Tl 0.5990 0.0475 0.3179
Tl4 Tl 0.9525 0.4010 0.1821
Cu1 Cu 0.4632 0.5368 0.7500
Cu2 Cu 0.5368 0.4632 0.2500
Sb1 Sb 0.1795 0.6226 0.3834
Sb2 Sb 0.3774 0.8205 0.1166
Sb3 Sb 0.6226 0.1795 0.8834
Sb4 Sb 0.8205 0.3774 0.6166
Au1 Au 0.0266 0.9734 0.7500
Au2 Au 0.9734 0.0266 0.2500
```

***

Record 12
Starting from a DFT-relaxed cell (GGA-PBE, Alexandria), the PXRD pattern of Sc6Cu2Au was computed for Cu Kα, 1.54184 Å.

The 10 most intense peaks (10 to 80 degrees two-theta), in order of rising 2θ:
| two_theta | d_spacing | intensity |
| --- | --- | --- |
| 19.38 | 4.581 | 34 |
| 19.64 | 4.520 | 50 |
| 19.99 | 4.442 | 32 |
| 23.97 | 3.712 | 34 |
| 34.42 | 2.606 | 100 |
| 36.94 | 2.434 | 30 |
| 37.51 | 2.398 | 78 |
| 37.62 | 2.391 | 30 |
| 39.89 | 2.260 | 40 |
| 41.94 | 2.154 | 28 |

Structural model:
```
data_Sc6Cu2Au
_symmetry_space_group_name_H-M 'P 1'
_symmetry_Int_Tables_number 1
_symmetry_space_group_name_Hall 'P 1'
_cell_length_a 7.8192
_cell_length_b 7.8192
_cell_length_c 7.8192
_cell_angle_alpha 110.77
_cell_angle_beta 109.38
_cell_angle_gamma 108.27
loop_
_atom_site_label
_atom_site_type_symbol
_atom_site_fract_x
_atom_site_fract_y
_atom_site_fract_z
Sc1 Sc 0.0417 0.8245 0.2171
Sc2 Sc 0.2442 0.5430 0.2988
Sc3 Sc 0.2442 0.9454 0.7012
Sc4 Sc 0.2748 0.3169 0.5917
Sc5 Sc 0.2748 0.6831 0.9579
Sc6 Sc 0.3926 0.1755 0.2171
Sc7 Sc 0.6074 0.8245 0.7829
Sc8 Sc 0.7252 0.3169 0.0421
Sc9 Sc 0.7252 0.6831 0.4083
Sc10 Sc 0.7558 0.0546 0.2988
Sc11 Sc 0.7558 0.4570 0.7012
Sc12 Sc 0.9583 0.1755 0.7829
Cu1 Cu 0.0000 0.1393 0.1393
Cu2 Cu 0.0000 0.8607 0.8607
Cu3 Cu 0.3703 0.3703 0.0000
Cu4 Cu 0.6297 0.6297 0.0000
Au1 Au 0.0000 0.5000 0.5000
Au2 Au 0.5000 0.0000 0.5000
```

***

Record 13
Starting from a DFT-relaxed cell (GGA-PBE, Alexandria), the PXRD pattern of Sc6CuAu5 was computed for Cu Kα, 1.54184 Å.

The 10 most intense peaks (10 to 80 degrees two-theta), in order of rising 2θ:
| two_theta | d_spacing | intensity |
| --- | --- | --- |
| 26.29 | 3.390 | 52 |
| 37.40 | 2.405 | 20 |
| 37.55 | 2.395 | 100 |
| 46.33 | 1.960 | 8 |
| 46.46 | 1.954 | 8 |
| 54.04 | 1.697 | 13 |
| 61.12 | 1.516 | 11 |
| 61.25 | 1.513 | 7 |
| 67.56 | 1.386 | 13 |
| 67.76 | 1.383 | 21 |

Structural model:
```
data_Sc6CuAu5
_symmetry_space_group_name_H-M 'P 1'
_symmetry_Int_Tables_number 1
_symmetry_space_group_name_Hall 'P 1'
_cell_length_a 7.6007
_cell_length_b 7.6007
_cell_length_c 6.7627
_cell_angle_alpha 90.00
_cell_angle_beta 90.00
_cell_angle_gamma 143.27
loop_
_atom_site_label
_atom_site_type_symbol
_atom_site_fract_x
_atom_site_fract_y
_atom_site_fract_z
Sc1 Sc 0.0000 0.0000 0.2486
Sc2 Sc 0.0000 0.0000 0.7514
Sc3 Sc 0.3351 0.6649 0.2460
Sc4 Sc 0.3351 0.6649 0.7540
Sc5 Sc 0.6649 0.3351 0.2460
Sc6 Sc 0.6649 0.3351 0.7540
Cu1 Cu 0.5000 0.5000 0.0000
Au1 Au 0.1587 0.8413 0.0000
Au2 Au 0.1713 0.8287 0.5000
Au3 Au 0.5000 0.5000 0.5000
Au4 Au 0.8287 0.1713 0.5000
Au5 Au 0.8413 0.1587 0.0000
```